The following is a calculated powder X-ray diffraction pattern of Li7Co5O12. It was derived from the GGA+U geometry in the Materials Project, using Cu Kα (λ = 1.5418 Å).
Peak positions follow from Bragg's law for the DFT cell and can differ from measured ones.

Crystal structure
```
data_Li7Co5O12
_chemical_formula_sum 'Li7 Co5 O12'
_cell_length_a 5.0221
_cell_length_b 5.0720
_cell_length_c 8.6830
_cell_angle_alpha 90.35
_cell_angle_beta 90.71
_cell_angle_gamma 109.03
_space_group_name_H-M_alt 'P -1'
_space_group_IT_number 2
_space_group_name_Hall '-P 1'
loop_
_atom_site_label
_atom_site_type_symbol
_atom_site_fract_x
_atom_site_fract_y
_atom_site_fract_z
Li1 Li 0.0000 0.0000 0.0000
Li2 Li 0.0000 0.5000 0.5000
Li3 Li 0.0011 0.0012 0.3364
Li4 Li 0.4990 0.9987 0.1680
Li5 Li 0.5000 0.0000 0.5000
Co1 Co 0.0018 0.5025 0.1750
Co2 Co 0.4940 0.4994 0.6618
Co3 Co 0.5000 0.5000 0.0000
O1 O 0.2467 0.7311 0.9970
O2 O 0.2594 0.7226 0.3262
O3 O 0.2632 0.2698 0.8219
O4 O 0.2661 0.7235 0.6723
O5 O 0.2687 0.2730 0.1776
O6 O 0.2865 0.2801 0.5020
```

Most intense lines, 10 to 90 degrees two-theta, in order of rising 2θ:
hkl	d/Å	2θ/deg	I_rel
0 1 0	4.795	18.5	100
1 0 -3	2.488	36.1	15
2 -1 0	2.471	36.4	14
1 1 -3	2.075	43.6	29
2 -2 0	2.055	44.1	27
1 1 3	2.043	44.3	27
1 -3 3	1.464	63.5	15
-3 1 3	1.456	63.9	15

The following is a calculated powder X-ray diffraction pattern of Li2MnSiO4. It was derived from the GGA+U geometry in the Materials Project, using Cu Kα (λ = 1.5418 Å).
Peak positions follow from Bragg's law for the DFT cell and can differ from measured ones.

Crystal structure
```
data_Li2MnSiO4
_chemical_formula_sum 'Li8 Mn4 Si4 O16'
_cell_length_a 5.0930
_cell_length_b 6.3747
_cell_length_c 10.8975
_cell_angle_alpha 90.00
_cell_angle_beta 89.98
_cell_angle_gamma 89.98
_space_group_name_H-M_alt 'P -1'
_space_group_IT_number 2
_space_group_name_Hall '-P 1'
loop_
_atom_site_label
_atom_site_type_symbol
_atom_site_fract_x
_atom_site_fract_y
_atom_site_fract_z
Li1 Li 0.1814 0.9995 0.4124
Li2 Li 0.1814 0.5019 0.4124
Li3 Li 0.3184 0.5005 0.9123
Li4 Li 0.3185 0.9982 0.9132
Mn1 Mn 0.1810 0.2509 0.1666
Mn2 Mn 0.3189 0.2490 0.6662
Si1 Si 0.1746 0.7508 0.1615
Si2 Si 0.3256 0.7490 0.6613
O1 O 0.1501 0.2493 0.8425
O2 O 0.2124 0.5368 0.5921
O3 O 0.2120 0.9610 0.5918
O4 O 0.2300 0.7496 0.8076
O5 O 0.2700 0.7506 0.3076
O6 O 0.2881 0.5387 0.0919
O7 O 0.2879 0.9632 0.0922
O8 O 0.3497 0.2505 0.3428
```

Most intense lines, 10 to 90 degrees two-theta, in order of rising 2θ:
hkl	d/Å	2θ/deg	I_rel
0 0 2	5.449	16.3	53
1 0 2	3.721	23.9	100
0 2 0	3.187	28.0	47
1 0 -3	2.957	30.2	27
0 2 2	2.751	32.5	60
0 0 4	2.724	32.9	35
2 0 0	2.547	35.2	50
0 2 6	1.578	58.5	33

The following is a calculated powder X-ray diffraction pattern of Na5Cr2PC4O16. It was derived from the GGA+U geometry in the Materials Project, using Cu Kα (λ = 1.5418 Å).
Peak positions follow from Bragg's law for the DFT cell and can differ from measured ones.

Crystal structure
```
data_Na5Cr2PC4O16
_chemical_formula_sum 'Na40 Cr16 P8 C32 O128'
_cell_length_a 13.8536
_cell_length_b 13.8766
_cell_length_c 14.0877
_cell_angle_alpha 90.00
_cell_angle_beta 90.00
_cell_angle_gamma 90.00
_space_group_name_H-M_alt 'F d d 2'
_space_group_IT_number 43
_space_group_name_Hall 'F 2 -2d'
loop_
_atom_site_label
_atom_site_type_symbol
_atom_site_fract_x
_atom_site_fract_y
_atom_site_fract_z
Na1 Na 0.0000 0.0000 0.0000
Na2 Na 0.0083 0.2030 0.7997
Na3 Na 0.0472 0.2585 0.0489
Cr1 Cr 0.1240 0.1234 0.4219
P1 P 0.0000 0.0000 0.7983
C1 C 0.0885 0.0885 0.2088
C2 C 0.0888 0.4122 0.8823
O1 O 0.0181 0.1487 0.1947
O2 O 0.0182 0.3517 0.8968
O3 O 0.0647 0.0646 0.8645
O4 O 0.0664 0.4334 0.2390
O5 O 0.1022 0.0178 0.1500
O6 O 0.1026 0.3519 0.5293
O7 O 0.1045 0.1514 0.5605
O8 O 0.1038 0.4812 0.9424
```

Most intense lines, 10 to 90 degrees two-theta, in order of rising 2θ:
hkl	d/Å	2θ/deg	I_rel
1 1 1	8.047	11.0	72
0 2 2	4.941	18.0	42
1 1 3	4.235	21.0	62
3 1 1	4.186	21.2	84
1 1 5	2.708	33.1	46
5 1 1	2.670	33.6	100
4 0 4	2.470	36.4	49
7 5 1	1.602	57.5	32

The following is a calculated powder X-ray diffraction pattern of Al9Fe2Si4HO24. It was derived from the GGA+U geometry in the Materials Project, using Cu Kα (λ = 1.5418 Å).
Peak positions follow from Bragg's law for the DFT cell and can differ from measured ones.

Crystal structure
```
data_Al9Fe2Si4HO24
_chemical_formula_sum 'Al18 Fe4 Si8 H2 O48'
_cell_length_a 7.8003
_cell_length_b 16.8167
_cell_length_c 5.7821
_cell_angle_alpha 90.00
_cell_angle_beta 91.04
_cell_angle_gamma 90.00
_space_group_name_H-M_alt 'C 1 2/m 1'
_space_group_IT_number 12
_space_group_name_Hall '-C 2y'
loop_
_atom_site_label
_atom_site_type_symbol
_atom_site_fract_x
_atom_site_fract_y
_atom_site_fract_z
Al1 Al 0.0000 0.0000 0.0000
Al2 Al 0.0000 0.3255 0.5000
Al3 Al 0.0000 0.3280 0.0000
Al4 Al 0.2314 0.0870 0.7353
Fe1 Fe 0.1387 0.5000 0.7343
Si1 Si 0.1355 0.1679 0.2391
H1 H 0.0000 0.0000 0.5000
O1 O 0.0028 0.0921 0.2204
O2 O 0.0226 0.2512 0.2491
O3 O 0.0278 0.4026 0.2575
O4 O 0.1788 0.0000 0.5275
O5 O 0.2304 0.0000 0.9544
O6 O 0.2396 0.3384 0.9866
O7 O 0.2469 0.3398 0.5216
```

Most intense lines, 10 to 90 degrees two-theta, in order of rising 2θ:
hkl	d/Å	2θ/deg	I_rel
2 2 1	2.996	29.8	88
1 5 -1	2.732	32.8	95
1 3 -2	2.452	36.7	66
1 3 2	2.429	37.0	99
3 3 0	2.360	38.1	100
0 6 2	2.012	45.1	63
4 6 -2	1.409	66.3	70
4 6 2	1.392	67.3	70

The following is a calculated powder X-ray diffraction pattern of MgMn3P4O14. It was derived from the GGA+U geometry in the Materials Project, using Cu Kα (λ = 1.5418 Å).
Peak positions follow from Bragg's law for the DFT cell and can differ from measured ones.

Crystal structure
```
data_MgMn3P4O14
_chemical_formula_sum 'Mg2 Mn6 P8 O28'
_cell_length_a 7.5389
_cell_length_b 7.6328
_cell_length_c 9.7460
_cell_angle_alpha 90.00
_cell_angle_beta 112.34
_cell_angle_gamma 90.00
_space_group_name_H-M_alt 'P 1 21/c 1'
_space_group_IT_number 14
_space_group_name_Hall '-P 2ybc'
loop_
_atom_site_label
_atom_site_type_symbol
_atom_site_fract_x
_atom_site_fract_y
_atom_site_fract_z
Mg1 Mg 0.0000 0.0000 0.0000
Mn1 Mn 0.3068 0.1210 0.4728
Mn2 Mn 0.5000 0.0000 0.0000
P1 P 0.0924 0.0813 0.7063
P2 P 0.3581 0.7090 0.1848
O1 O 0.1083 0.5370 0.8034
O2 O 0.1148 0.2186 0.5999
O3 O 0.1651 0.6041 0.1663
O4 O 0.2194 0.1190 0.8721
O5 O 0.2878 0.6190 0.5999
O6 O 0.4618 0.5955 0.1085
O7 O 0.4725 0.7201 0.3521
```

Most intense lines, 10 to 90 degrees two-theta, in order of rising 2θ:
hkl	d/Å	2θ/deg	I_rel
1 1 -1	5.137	17.3	26
1 0 2	3.262	27.3	27
2 1 -2	3.158	28.3	70
1 1 2	3.000	29.8	40
1 2 1	2.963	30.2	100
2 1 1	2.712	33.0	22
2 1 -3	2.696	33.2	26
3 1 -3	2.214	40.8	23